1.
The following is a computed X-ray powder pattern of Pr3Cr10N11. It was derived from a DFT-relaxed cell (GGA-PBE, Alexandria), using a wavelength of 1.5418 Å.

Principal peaks in the range 2θ from 10° to 80°, sorted by position:
Position (°2θ), intensity
23.92, 17
27.68, 18
30.23, 23
34.08, 66
36.21, 100
39.55, 17
42.06, 17
54.70, 21
61.00, 44
76.44, 19

```
Pr3Cr10N11
1.0
0.000 6.444 6.444
6.444 0.000 6.444
6.444 6.444 0.000
Pr Cr N
6 20 22
Cartesian
6.444 6.444 2.558 Pr
6.444 2.558 6.444 Pr
10.331 6.444 6.444 Pr
2.558 6.444 6.444 Pr
6.444 10.331 6.444 Pr
6.444 6.444 10.331 Pr
3.222 3.222 1.292 Cr
3.222 1.292 3.222 Cr
5.152 3.222 3.222 Cr
7.666 5.223 5.223 Cr
1.292 3.222 3.222 Cr
3.222 5.152 3.222 Cr
3.222 3.222 5.152 Cr
5.223 5.223 5.223 Cr
7.666 7.666 5.223 Cr
7.666 5.223 7.666 Cr
5.223 7.666 5.223 Cr
5.223 5.223 7.666 Cr
7.666 7.666 7.666 Cr
9.667 9.667 7.736 Cr
9.667 7.736 9.667 Cr
11.597 9.667 9.667 Cr
5.223 7.666 7.666 Cr
7.736 9.667 9.667 Cr
9.667 11.597 9.667 Cr
9.667 9.667 11.597 Cr
0.000 0.000 0.000 N
1.906 1.906 1.906 N
4.539 4.539 1.906 N
4.539 1.906 4.539 N
6.444 4.224 4.224 N
8.665 6.444 4.224 N
8.665 4.224 6.444 N
10.983 8.350 8.350 N
4.224 6.444 4.224 N
6.444 8.665 4.224 N
4.224 4.224 6.444 N
6.444 6.444 6.444 N
8.665 8.665 6.444 N
6.444 4.224 8.665 N
8.665 6.444 8.665 N
1.906 4.539 4.539 N
4.224 8.665 6.444 N
4.224 6.444 8.665 N
6.444 8.665 8.665 N
8.350 10.983 8.350 N
8.350 8.350 10.983 N
10.983 10.983 10.983 N
```

2.
The following is a computed X-ray powder pattern of Sr2MgTl4Hg2. It was derived from a DFT-relaxed cell (GGA-PBE, Alexandria), using a wavelength of 1.5418 Å.

Principal peaks in the range 2θ from 10° to 80°, sorted by position:
Position (°2θ), intensity
13.12, 45
16.78, 23
26.42, 32
28.82, 34
31.84, 86
32.13, 40
32.66, 42
32.90, 35
33.93, 100
38.69, 21

```
Sr2MgTl4Hg2
1.0
6.653 0.000 0.000
-3.024 5.971 0.000
-2.646 -2.434 6.747
Sr Mg Tl Hg
2 1 4 2
Cartesian
-1.220 0.774 2.285 Sr
2.202 2.763 4.462 Sr
2.003 -1.217 3.373 Mg
-2.969 -0.216 5.717 Tl
2.129 0.727 1.029 Tl
-1.147 2.809 5.718 Tl
3.951 3.753 1.030 Tl
0.194 -0.078 5.188 Hg
0.788 3.615 1.558 Hg
```

3.
The following is a computed X-ray powder pattern of MnCr2CoSe6. It was derived from a DFT-relaxed cell (GGA-PBE, Alexandria), using a wavelength of 1.5418 Å.

Principal peaks in the range 2θ from 10° to 80°, sorted by position:
Position (°2θ), intensity
19.38, 18
26.88, 8
32.25, 7
32.55, 100
39.34, 9
43.34, 52
49.87, 40
57.69, 19
60.83, 14
68.18, 12

```
MnCr2CoSe6
1.0
3.167 1.829 5.552
-3.167 1.829 5.552
0.000 -3.657 5.552
Mn Cr Co Se
1 2 1 6
Cartesian
0.000 0.000 0.000 Mn
0.000 0.000 3.128 Cr
0.000 0.000 11.484 Cr
0.000 0.000 8.354 Co
-0.943 -1.872 7.135 Se
-1.949 -0.029 9.843 Se
-1.150 1.752 7.135 Se
1.000 -1.673 9.843 Se
2.093 0.120 7.135 Se
0.949 1.703 9.843 Se
```